1.
Starting from a GGA-PBE-relaxed structure, the X-ray powder pattern of Ac3SnHg5 was computed for Cu Kα (λ = 1.5418 Å).
Intensities are scaled so that the largest is 100.

Cell and atoms:
abc: 9.6248 9.6248 6.8360
angles: 90.00 90.00 120.00
Space group P6_3/mcm (No. 193)
Inequivalent atoms, fractional coordinates:
Ac1 0.0000 0.3280 0.2500
Sn1 0.0000 0.0000 0.0000
Hg1 0.0000 0.3409 0.7500
Hg2 0.3333 0.6667 0.0000

Principal peaks in the range 10 to 80 degrees two-theta, in order of rising 2θ:
| (hkl) | d_spacing | two_theta | intensity |
| --- | --- | --- | --- |
| 0 0 2 | 3.418 | 26.07 | 5.3 |
| 3 0 0 | 2.782 | 32.17 | 100.0 |
| 3 0 2 | 2.156 | 41.90 | 9.1 |
| 2 2 2 | 1.968 | 46.14 | 17.1 |
| 0 0 4 | 1.709 | 53.63 | 4.4 |
| 3 3 0 | 1.605 | 57.41 | 28.6 |
| 3 0 4 | 1.456 | 63.96 | 15.7 |
| 3 3 2 | 1.452 | 64.13 | 2.6 |
| 6 0 0 | 1.389 | 67.41 | 6.6 |
| 5 2 2 | 1.243 | 76.64 | 7.8 |

2.
Starting from a GGA-PBE-relaxed structure, the X-ray powder pattern of AcSnHg4 was computed for Cu Kα (λ = 1.5418 Å).
Intensities are scaled so that the largest is 100.

Cell and atoms:
abc: 4.8855 18.0364 7.7029
angles: 90.00 90.00 90.00
Space group Cmc2_1 (No. 36)
Inequivalent atoms, fractional coordinates:
Ac1 0.0000 0.1320 0.0000
Sn1 0.0000 0.3237 0.2030
Hg1 0.0000 0.0495 0.4104
Hg2 0.0000 0.2187 0.5132
Hg3 0.0000 0.3393 0.7936
Hg4 0.0000 0.4944 0.1403

Principal peaks in the range 10 to 80 degrees two-theta, in order of rising 2θ:
| (hkl) | d_spacing | two_theta | intensity |
| --- | --- | --- | --- |
| 1 1 2 | 2.983 | 29.96 | 100.0 |
| 0 6 1 | 2.800 | 31.96 | 47.0 |
| 1 5 1 | 2.716 | 32.98 | 81.0 |
| 1 3 2 | 2.702 | 33.16 | 85.5 |
| 2 0 0 | 2.443 | 36.79 | 61.7 |
| 1 3 3 | 2.126 | 42.52 | 18.5 |
| 2 6 1 | 1.841 | 49.52 | 28.4 |
| 1 11 0 | 1.554 | 59.46 | 19.0 |
| 3 5 1 | 1.458 | 63.86 | 18.7 |
| 1 9 4 | 1.336 | 70.51 | 19.6 |

3.
Starting from a GGA-PBE-relaxed structure, the X-ray powder pattern of Ac2ZnSnHg6 was computed for Cu Kα (λ = 1.5418 Å).
Intensities are scaled so that the largest is 100.

Cell and atoms:
abc: 6.1227 9.2534 10.1161
angles: 90.00 90.00 90.00
Space group Pmmn (No. 59, origin choice 2)
Inequivalent atoms, fractional coordinates:
Ac1 0.2500 0.0080 0.2401
Zn1 0.2500 0.2500 0.7575
Sn1 0.2500 0.7500 0.7837
Hg1 0.0056 0.2500 0.9750
Hg2 0.0074 0.7500 0.4853
Hg3 0.2500 0.0006 0.6112

Principal peaks in the range 10 to 80 degrees two-theta, in order of rising 2θ:
| (hkl) | d_spacing | two_theta | intensity |
| --- | --- | --- | --- |
| 1 2 1 | 3.468 | 25.69 | 29.3 |
| 0 2 2 | 3.414 | 26.10 | 93.4 |
| 1 2 2 | 2.982 | 29.97 | 38.2 |
| 1 0 3 | 2.954 | 30.26 | 27.3 |
| 2 0 2 | 2.619 | 34.24 | 89.8 |
| 2 2 0 | 2.553 | 35.15 | 100.0 |
| 1 2 3 | 2.490 | 36.08 | 79.8 |
| 0 4 0 | 2.313 | 38.93 | 60.8 |
| 2 2 2 | 2.279 | 39.54 | 26.4 |
| 2 4 2 | 1.734 | 52.80 | 52.8 |

4.
Starting from a GGA-PBE-relaxed structure, the X-ray powder pattern of SrAcHg5 was computed for Cu Kα (λ = 1.5418 Å).
Intensities are scaled so that the largest is 100.

Cell and atoms:
abc: 6.6726 9.7250 6.8110
angles: 90.00 90.00 90.00
Space group Cmmm (No. 65)
Inequivalent atoms, fractional coordinates:
Sr1 0.0000 0.0000 0.0000
Ac1 0.0000 0.5000 0.5000
Hg1 0.0000 0.5000 0.0000
Hg2 0.2500 0.2500 0.2557

Principal peaks in the range 10 to 80 degrees two-theta, in order of rising 2θ:
| (hkl) | d_spacing | two_theta | intensity |
| --- | --- | --- | --- |
| 1 1 0 | 5.502 | 16.11 | 32.6 |
| 0 2 2 | 2.789 | 32.09 | 100.0 |
| 2 2 0 | 2.751 | 32.55 | 96.7 |
| 0 4 0 | 2.431 | 36.97 | 34.5 |
| 2 0 2 | 2.383 | 37.75 | 65.1 |
| 2 4 2 | 1.702 | 53.86 | 59.1 |
| 0 6 2 | 1.464 | 63.57 | 15.5 |
| 2 6 0 | 1.458 | 63.85 | 14.4 |
| 2 2 4 | 1.448 | 64.34 | 27.7 |
| 4 2 2 | 1.432 | 65.16 | 27.2 |

5.
Starting from a GGA-PBE-relaxed structure, the X-ray powder pattern of Sr3Ac2Hg3 was computed for Cu Kα (λ = 1.5418 Å).
Intensities are scaled so that the largest is 100.

Cell and atoms:
abc: 4.0334 5.9177 24.5078
angles: 90.00 90.00 90.00
Space group Immm (No. 71)
Inequivalent atoms, fractional coordinates:
Sr1 0.0000 0.0000 0.0000
Sr2 0.0000 0.5000 0.1143
Ac1 0.0000 0.0000 0.2255
Hg1 0.0000 0.0000 0.5000
Hg2 0.0000 0.5000 0.3839

Principal peaks in the range 10 to 80 degrees two-theta, in order of rising 2θ:
| (hkl) | d_spacing | two_theta | intensity |
| --- | --- | --- | --- |
| 0 1 3 | 4.792 | 18.51 | 21.6 |
| 0 0 8 | 3.063 | 29.15 | 17.3 |
| 0 2 0 | 2.959 | 30.20 | 30.0 |
| 1 1 4 | 2.928 | 30.53 | 100.0 |
| 1 0 7 | 2.644 | 33.90 | 9.3 |
| 0 2 8 | 2.128 | 42.47 | 12.7 |
| 2 0 0 | 2.017 | 44.95 | 10.2 |
| 1 3 4 | 1.702 | 53.86 | 20.7 |
| 2 2 0 | 1.666 | 55.11 | 11.3 |
| 1 1 14 | 1.550 | 59.66 | 9.5 |

6.
Starting from a GGA-PBE-relaxed structure, the X-ray powder pattern of SrAc2Hg4 was computed for Cu Kα (λ = 1.5418 Å).
Intensities are scaled so that the largest is 100.

Cell and atoms:
abc: 5.5146 5.5146 27.8157
angles: 90.00 90.00 120.00
Space group R-3m (No. 166, hexagonal axes)
Inequivalent atoms, fractional coordinates:
Sr1 0.0000 0.0000 0.0000
Ac1 0.0000 0.0000 0.2448
Hg1 0.0000 0.0000 0.1255
Hg2 0.0000 0.0000 0.3730

Principal peaks in the range 10 to 80 degrees two-theta, in order of rising 2θ:
| (hkl) | d_spacing | two_theta | intensity |
| --- | --- | --- | --- |
| 0 1 2 | 4.517 | 19.65 | 24.5 |
| 0 1 8 | 2.811 | 31.84 | 100.0 |
| 1 1 0 | 2.757 | 32.47 | 97.5 |
| 2 0 8 | 1.968 | 46.11 | 36.5 |
| 1 0 16 | 1.634 | 56.32 | 18.9 |
| 1 2 8 | 1.602 | 57.53 | 38.3 |
| 3 0 0 | 1.592 | 57.93 | 19.8 |
| 2 2 0 | 1.379 | 68.00 | 12.7 |
| 2 1 16 | 1.252 | 76.00 | 16.0 |
| 3 1 8 | 1.238 | 77.04 | 16.7 |

7.
Starting from a GGA-PBE-relaxed structure, the X-ray powder pattern of Sr2AcTl2Hg2 was computed for Cu Kα (λ = 1.5418 Å).
Intensities are scaled so that the largest is 100.

Cell and atoms:
abc: 5.1889 5.1889 31.2190
angles: 90.00 90.00 120.00
Space group R-3m (No. 166, hexagonal axes)
Inequivalent atoms, fractional coordinates:
Sr1 0.0000 0.0000 0.1241
Ac1 0.0000 0.0000 0.0000
Tl1 0.0000 0.0000 0.2583
Hg1 0.0000 0.0000 0.3903

Principal peaks in the range 10 to 80 degrees two-theta, in order of rising 2θ:
| (hkl) | d_spacing | two_theta | intensity |
| --- | --- | --- | --- |
| 0 0 6 | 5.203 | 17.04 | 17.5 |
| 0 1 5 | 3.647 | 24.40 | 21.2 |
| 1 0 7 | 3.165 | 28.19 | 20.9 |
| 0 1 8 | 2.946 | 30.34 | 100.0 |
| 1 1 0 | 2.595 | 34.57 | 93.4 |
| 1 1 3 | 2.517 | 35.67 | 14.6 |
| 2 0 8 | 1.947 | 46.65 | 31.1 |
| 1 1 15 | 1.623 | 56.70 | 23.6 |
| 1 2 8 | 1.557 | 59.34 | 30.6 |
| 3 0 0 | 1.498 | 61.95 | 17.5 |

8.
Starting from a GGA-PBE-relaxed structure, the X-ray powder pattern of Ac2Tb3Hg4 was computed for Cu Kα (λ = 1.5418 Å).
Intensities are scaled so that the largest is 100.

Cell and atoms:
abc: 7.1978 17.9939 8.5607
angles: 90.00 90.00 90.00
Space group Cmce (No. 64)
Inequivalent atoms, fractional coordinates:
Ac1 0.0000 0.0995 0.0894
Tb1 0.0000 0.0000 0.5000
Tb2 0.2500 0.2334 0.7500
Hg1 0.0000 0.1734 0.4704
Hg2 0.2500 0.0613 0.7500

Principal peaks in the range 10 to 80 degrees two-theta, in order of rising 2θ:
| (hkl) | d_spacing | two_theta | intensity |
| --- | --- | --- | --- |
| 1 3 2 | 3.136 | 28.46 | 21.4 |
| 2 2 1 | 3.113 | 28.68 | 52.4 |
| 1 5 1 | 3.013 | 29.65 | 77.2 |
| 2 4 0 | 2.810 | 31.84 | 20.6 |
| 2 0 2 | 2.755 | 32.50 | 100.0 |
| 0 2 3 | 2.720 | 32.93 | 40.8 |
| 0 6 2 | 2.456 | 36.59 | 27.9 |
| 3 5 1 | 1.944 | 46.74 | 27.4 |
| 4 0 0 | 1.799 | 50.73 | 21.0 |
| 2 6 4 | 1.568 | 58.90 | 26.4 |

9.
Starting from a GGA-PBE-relaxed structure, the X-ray powder pattern of AcTb2Hg4 was computed for Cu Kα (λ = 1.5418 Å).
Intensities are scaled so that the largest is 100.

Cell and atoms:
abc: 7.3269 11.1346 5.2162
angles: 90.00 90.00 90.00
Space group Cmmm (No. 65)
Inequivalent atoms, fractional coordinates:
Ac1 0.0000 0.0000 0.0000
Tb1 0.0000 0.2609 0.5000
Hg1 0.2156 0.5000 0.5000
Hg2 0.2500 0.2500 0.0000

Principal peaks in the range 10 to 80 degrees two-theta, in order of rising 2θ:
| (hkl) | d_spacing | two_theta | intensity |
| --- | --- | --- | --- |
| 1 1 1 | 3.970 | 22.39 | 18.0 |
| 0 4 0 | 2.784 | 32.16 | 30.1 |
| 2 2 1 | 2.640 | 33.96 | 100.0 |
| 0 0 2 | 2.608 | 34.39 | 25.7 |
| 0 4 2 | 1.903 | 47.79 | 20.5 |
| 2 6 1 | 1.578 | 58.49 | 20.7 |
| 4 4 0 | 1.530 | 60.51 | 8.1 |
| 2 2 3 | 1.512 | 61.32 | 18.7 |
| 4 0 2 | 1.499 | 61.90 | 7.7 |
| 4 4 2 | 1.320 | 71.49 | 11.8 |

10.
Starting from a GGA-PBE-relaxed structure, the X-ray powder pattern of AcTbHg4 was computed for Cu Kα (λ = 1.5418 Å).
Intensities are scaled so that the largest is 100.

Cell and atoms:
abc: 3.6317 5.0971 8.7540
angles: 90.00 90.00 90.00
Space group Pmmm (No. 47)
Inequivalent atoms, fractional coordinates:
Ac1 0.0000 0.0000 0.0000
Tb1 0.0000 0.5000 0.5000
Hg1 0.5000 0.0000 0.3394
Hg2 0.5000 0.5000 0.1767

Principal peaks in the range 10 to 80 degrees two-theta, in order of rising 2θ:
| (hkl) | d_spacing | two_theta | intensity |
| --- | --- | --- | --- |
| 1 0 2 | 2.800 | 31.97 | 100.0 |
| 0 2 0 | 2.549 | 35.22 | 29.8 |
| 0 1 3 | 2.532 | 35.45 | 57.6 |
| 1 2 2 | 1.883 | 48.33 | 22.4 |
| 2 0 0 | 1.816 | 50.24 | 11.1 |
| 1 3 1 | 1.516 | 61.14 | 10.5 |
| 1 1 5 | 1.507 | 61.55 | 11.3 |
| 2 2 0 | 1.479 | 62.84 | 11.4 |
| 2 1 3 | 1.476 | 62.99 | 22.3 |
| 0 3 3 | 1.468 | 63.34 | 11.0 |

11.
Starting from a GGA-PBE-relaxed structure, the X-ray powder pattern of Ac4HgTe6 was computed for Cu Kα (λ = 1.5418 Å).
Intensities are scaled so that the largest is 100.

Cell and atoms:
abc: 10.1613 10.1613 4.6793
angles: 90.00 90.00 120.00
Space group P-6m2 (No. 187)
Inequivalent atoms, fractional coordinates:
Ac1 0.0000 0.0000 0.0000
Ac2 0.0397 0.5199 0.5000
Hg1 0.6667 0.3333 0.0000
Te1 0.2020 0.4040 0.0000
Te2 0.2988 0.1494 0.5000

Principal peaks in the range 10 to 80 degrees two-theta, in order of rising 2θ:
| (hkl) | d_spacing | two_theta | intensity |
| --- | --- | --- | --- |
| 2 0 0 | 4.400 | 20.18 | 23.5 |
| 1 1 1 | 3.442 | 25.89 | 64.1 |
| 2 1 0 | 3.326 | 26.80 | 41.7 |
| 2 0 1 | 3.205 | 27.83 | 100.0 |
| 2 1 1 | 2.711 | 33.04 | 56.4 |
| 2 2 0 | 2.540 | 35.33 | 73.7 |
| 3 0 1 | 2.485 | 36.14 | 38.4 |
| 0 0 2 | 2.340 | 38.48 | 30.1 |
| 4 1 1 | 1.777 | 51.44 | 23.1 |
| 2 2 2 | 1.721 | 53.23 | 46.3 |

12.
Starting from a GGA-PBE-relaxed structure, the X-ray powder pattern of Ac2HgTe4 was computed for Cu Kα (λ = 1.5418 Å).
Intensities are scaled so that the largest is 100.

Cell and atoms:
abc: 7.6474 7.8040 9.0472
angles: 90.00 107.18 90.00
Space group P2_1/m (No. 11)
Inequivalent atoms, fractional coordinates:
Ac1 0.2145 0.2500 0.0503
Ac2 0.2411 0.2500 0.5631
Hg1 0.2425 0.7500 0.3129
Te1 0.0240 0.5187 0.7519
Te2 0.4392 0.7500 0.0946
Te3 0.4502 0.7500 0.6279

Principal peaks in the range 10 to 80 degrees two-theta, in order of rising 2θ:
| (hkl) | d_spacing | two_theta | intensity |
| --- | --- | --- | --- |
| 0 2 0 | 3.902 | 22.79 | 34.3 |
| 1 2 0 | 3.442 | 25.89 | 19.9 |
| 2 0 -2 | 3.313 | 26.91 | 31.4 |
| 2 1 -2 | 3.051 | 29.27 | 100.0 |
| 0 2 2 | 2.896 | 30.88 | 34.2 |
| 2 2 0 | 2.667 | 33.61 | 26.9 |
| 2 1 2 | 2.342 | 38.44 | 17.7 |
| 1 0 -4 | 2.262 | 39.86 | 24.4 |
| 2 3 -2 | 2.046 | 44.26 | 29.5 |
| 1 2 4 | 1.725 | 53.09 | 15.6 |

13.
Starting from a GGA-PBE-relaxed structure, the X-ray powder pattern of AcThHg4 was computed for Cu Kα (λ = 1.5418 Å).
Intensities are scaled so that the largest is 100.

Cell and atoms:
abc: 3.5884 5.1274 8.8584
angles: 90.00 90.00 90.00
Space group Pmmm (No. 47)
Inequivalent atoms, fractional coordinates:
Ac1 0.0000 0.0000 0.0000
Th1 0.0000 0.5000 0.5000
Hg1 0.5000 0.0000 0.3373
Hg2 0.5000 0.5000 0.1712

Principal peaks in the range 10 to 80 degrees two-theta, in order of rising 2θ:
| (hkl) | d_spacing | two_theta | intensity |
| --- | --- | --- | --- |
| 1 0 2 | 2.790 | 32.09 | 100.0 |
| 0 2 0 | 2.560 | 35.05 | 86.3 |
| 1 2 0 | 2.084 | 43.42 | 7.9 |
| 1 2 2 | 1.886 | 48.24 | 32.8 |
| 2 0 0 | 1.794 | 50.89 | 10.2 |
| 1 3 1 | 1.519 | 60.98 | 21.8 |
| 1 1 5 | 1.517 | 61.07 | 11.0 |
| 0 3 3 | 1.479 | 62.82 | 10.9 |
| 2 2 0 | 1.469 | 63.29 | 32.1 |
| 0 2 6 | 1.279 | 74.11 | 6.8 |